(1)
Computed powder XRD pattern of BaTb for Cu Kα, 1.54184 Å, from a DFT-relaxed cell (PBE, the Materials Project).

Peak list (10 most intense, 10 to 90 degrees two-theta, in order of rising 2θ)
2θ/deg  I_rel
26.4  23
27.5  27
29.9  100
38.5  17
46.7  19
50.2  24
55.1  24
56.4  17
76.2  14
89.3  10

Atomic structure:
a b c (Å): 3.8919 3.8919 6.4792
angles (deg): 90.00 90.00 120.00
Atoms (fractional coordinates):
1 Ba 0.0000 0.0000 0.0000
2 Tb 0.6667 0.3333 0.5000

(2)
Computed powder XRD pattern of USnAu for Cu Kα, 1.54184 Å, from a DFT-relaxed cell (PBE, the Materials Project).

Peak list (10 most intense, 10 to 90 degrees two-theta, in order of rising 2θ)
2θ/deg  I_rel
20.0  6
25.2  7
34.9  100
36.9  87
51.7  34
62.7  19
63.9  42
73.8  12
74.9  23
85.5  18

Atomic structure:
a b c (Å): 5.1356 5.1356 5.8294
angles (deg): 90.00 90.00 120.00
Atoms (fractional coordinates):
1 U 0.0000 0.0000 0.0000
2 U 0.0000 0.0000 0.5000
3 Sn 0.3333 0.6667 0.2500
4 Sn 0.6667 0.3333 0.7500
5 Au 0.3333 0.6667 0.7500
6 Au 0.6667 0.3333 0.2500

(3)
Computed powder XRD pattern of Y6Ni20P13 for Cu Kα, 1.54184 Å, from a DFT-relaxed cell (PBE, the Materials Project).

Peak list (10 most intense, 10 to 90 degrees two-theta, in order of rising 2θ)
2θ/deg  I_rel
37.2  13
38.1  100
40.8  10
43.7  9
46.1  11
48.5  24
50.3  9
52.1  22
74.0  15
83.5  13

Atomic structure:
a b c (Å): 12.6476 12.6476 3.7547
angles (deg): 90.00 90.00 120.00
Atoms (fractional coordinates):
1 Y 0.0511 0.1963 0.0000
2 Y 0.1452 0.9489 0.0000
3 Y 0.5212 0.3852 0.5000
4 Y 0.6148 0.1360 0.5000
5 Y 0.8037 0.8548 0.0000
6 Y 0.8640 0.4788 0.5000
7 Ni 0.0000 0.0000 0.5000
8 Ni 0.0131 0.4245 0.0000
9 Ni 0.0873 0.7376 0.5000
10 Ni 0.1815 0.5942 0.5000
11 Ni 0.2283 0.4711 0.0000
12 Ni 0.2428 0.7717 0.0000
13 Ni 0.2624 0.3497 0.5000
14 Ni 0.3118 0.2289 0.0000
15 Ni 0.3553 0.1018 0.5000
16 Ni 0.4058 0.5873 0.5000
17 Ni 0.4114 0.9869 0.0000
18 Ni 0.4127 0.8185 0.5000
19 Ni 0.5289 0.7572 0.0000
20 Ni 0.5755 0.5886 0.0000
21 Ni 0.6503 0.9127 0.5000
22 Ni 0.6667 0.3333 0.0000
23 Ni 0.7465 0.6447 0.5000
24 Ni 0.7711 0.0830 0.0000
25 Ni 0.8982 0.2535 0.5000
26 Ni 0.9170 0.6882 0.0000
27 P 0.0514 0.6190 0.0000
28 P 0.1007 0.3882 0.5000
29 P 0.1964 0.1432 0.5000
30 P 0.2874 0.8993 0.5000
31 P 0.3333 0.6667 0.0000
32 P 0.3810 0.4324 0.0000
33 P 0.4708 0.1899 0.0000
34 P 0.5676 0.9486 0.0000
35 P 0.6118 0.7126 0.5000
36 P 0.7191 0.5292 0.0000
37 P 0.8101 0.2809 0.0000
38 P 0.8568 0.0532 0.5000
39 P 0.9468 0.8036 0.5000

(4)
Computed powder XRD pattern of Ca6Ag3Ge5 for Cu Kα, 1.54184 Å, from a DFT-relaxed cell (PBE, the Materials Project).

Peak list (10 most intense, 10 to 90 degrees two-theta, in order of rising 2θ)
2θ/deg  I_rel
16.4  42
21.3  49
30.8  56
31.4  59
36.2  38
38.5  100
39.3  77
39.4  25
47.8  23
56.9  28

Atomic structure:
a b c (Å): 5.8840 5.8840 14.5556
angles (deg): 107.64 107.64 45.80
Atoms (fractional coordinates):
1 Ca 0.0000 0.0000 0.0000
2 Ca 0.5225 0.5225 0.5497
3 Ca 0.6591 0.6591 0.8508
4 Ca 0.7229 0.7229 0.3911
5 Ca 0.7982 0.7982 0.1536
6 Ca 0.8632 0.8632 0.6977
7 Ag 0.0280 0.0280 0.3851
8 Ag 0.3798 0.3798 0.3164
9 Ag 0.5093 0.5093 0.1610
10 Ge 0.1226 0.1226 0.2303
11 Ge 0.1561 0.1561 0.7006
12 Ge 0.2334 0.2334 0.5499
13 Ge 0.2900 0.2900 0.9999
14 Ge 0.3680 0.3680 0.8496

(5)
Computed powder XRD pattern of Te4MoW3Se2S2 for Cu Kα, 1.54184 Å, from a DFT-relaxed cell (PBE, the Materials Project).

Peak list (10 most intense, 10 to 90 degrees two-theta, in order of rising 2θ)
2θ/deg  I_rel
11.4  100
13.7  20
30.4  48
35.7  88
37.0  15
43.2  48
45.0  16
54.0  30
66.4  14
76.2  14

Atomic structure:
a b c (Å): 3.3958 3.3958 38.7774
angles (deg): 90.00 90.00 120.00
Atoms (fractional coordinates):
1 Te 0.0000 0.0000 0.0000
2 Te 0.0000 0.0000 0.0967
3 Te 0.0000 0.0000 0.3755
4 Te 0.0000 0.0000 0.4726
5 Mo 0.6667 0.3333 0.0483
6 W 0.0000 0.0000 0.2362
7 W 0.0000 0.0000 0.6120
8 W 0.6667 0.3333 0.4240
9 Se 0.6667 0.3333 0.5692
10 Se 0.6667 0.3333 0.6547
11 S 0.6667 0.3333 0.1974
12 S 0.6667 0.3333 0.2750

(6)
Computed powder XRD pattern of SrHgI4O8 for Cu Kα, 1.54184 Å, from a DFT-relaxed cell (PBE, the Materials Project).

Peak list (10 most intense, 10 to 90 degrees two-theta, in order of rising 2θ)
2θ/deg  I_rel
14.1  98
14.9  84
23.8  74
26.8  45
27.1  96
28.4  100
30.6  46
31.5  39
32.4  63
39.3  56

Atomic structure:
a b c (Å): 14.9851 6.9395 11.5754
angles (deg): 90.00 90.00 90.00
Atoms (fractional coordinates):
1 Sr 0.0661 0.2500 0.2383
2 Sr 0.4339 0.7500 0.7383
3 Sr 0.5661 0.2500 0.2617
4 Sr 0.9339 0.7500 0.7617
5 Hg 0.1817 0.7500 0.3221
6 Hg 0.3183 0.2500 0.8221
7 Hg 0.6817 0.7500 0.1779
8 Hg 0.8183 0.2500 0.6779
9 I 0.0022 0.2500 0.8928
10 I 0.0140 0.2500 0.5234
11 I 0.2437 0.0507 0.5479
12 I 0.2437 0.4493 0.5479
13 I 0.2563 0.5507 0.0479
14 I 0.2563 0.9493 0.0479
15 I 0.4860 0.7500 0.0234
16 I 0.4978 0.7500 0.3928
17 I 0.5022 0.2500 0.6072
18 I 0.5140 0.2500 0.9766
19 I 0.7437 0.0507 0.9521
20 I 0.7437 0.4493 0.9521
21 I 0.7563 0.5507 0.4521
22 I 0.7563 0.9493 0.4521
23 I 0.9860 0.7500 0.4766
24 I 0.9978 0.7500 0.1072
25 O 0.0454 0.0430 0.8132
26 O 0.0454 0.4570 0.8132
27 O 0.0660 0.5537 0.4138
28 O 0.0660 0.9463 0.4138
29 O 0.0731 0.2500 0.0211
30 O 0.1772 0.2500 0.4261
31 O 0.1777 0.5118 0.1874
32 O 0.1777 0.9882 0.1874
33 O 0.3223 0.0118 0.6874
34 O 0.3223 0.4882 0.6874
35 O 0.3228 0.7500 0.9261
36 O 0.4269 0.7500 0.5211
37 O 0.4340 0.0537 0.9138
38 O 0.4340 0.4463 0.9138
39 O 0.4546 0.5430 0.3132
40 O 0.4546 0.9570 0.3132
41 O 0.5454 0.0430 0.6868
42 O 0.5454 0.4570 0.6868
43 O 0.5660 0.5537 0.0862
44 O 0.5660 0.9463 0.0862
45 O 0.5731 0.2500 0.4789
46 O 0.6772 0.2500 0.0739
47 O 0.6777 0.5118 0.3126
48 O 0.6777 0.9882 0.3126
49 O 0.8223 0.0118 0.8126
50 O 0.8223 0.4882 0.8126
51 O 0.8228 0.7500 0.5739
52 O 0.9269 0.7500 0.9789
53 O 0.9340 0.0537 0.5862
54 O 0.9340 0.4463 0.5862
55 O 0.9546 0.5430 0.1868
56 O 0.9546 0.9570 0.1868

(7)
Computed powder XRD pattern of Dy3TlC for Cu Kα, 1.54184 Å, from a DFT-relaxed cell (PBE, the Materials Project).

Peak list (10 most intense, 10 to 90 degrees two-theta, in order of rising 2θ)
2θ/deg  I_rel
15.8  100
27.5  26
31.9  74
35.8  56
45.7  55
48.7  30
56.8  19
69.0  17
75.8  25
84.6  19

Atomic structure:
a b c (Å): 5.6133 5.6133 5.6133
angles (deg): 90.00 90.00 90.00
Atoms (fractional coordinates):
1 Dy 0.0000 0.0000 0.5000
2 Dy 0.0000 0.5000 0.0000
3 Dy 0.5000 0.0000 0.0000
4 Tl 0.0000 0.0000 0.0000
5 C 0.5000 0.5000 0.5000

(8)
Computed powder XRD pattern of Tm3Al12Ru4 for Cu Kα, 1.54184 Å, from a DFT-relaxed cell (PBE, the Materials Project).

Peak list (10 most intense, 10 to 90 degrees two-theta, in order of rising 2θ)
2θ/deg  I_rel
14.9  46
25.2  63
30.0  100
31.1  23
36.5  37
36.7  36
36.8  68
37.6  37
41.1  81
57.0  37

Atomic structure:
a b c (Å): 8.7766 8.7766 9.5602
angles (deg): 90.00 90.00 120.00
Atoms (fractional coordinates):
1 Tm 0.1943 0.3887 0.2500
2 Tm 0.1943 0.8057 0.2500
3 Tm 0.3887 0.1943 0.7500
4 Tm 0.6113 0.8057 0.2500
5 Tm 0.8057 0.1943 0.7500
6 Tm 0.8057 0.6113 0.7500
7 Al 0.0000 0.0000 0.2500
8 Al 0.0000 0.0000 0.7500
9 Al 0.1214 0.5607 0.7500
10 Al 0.1619 0.3238 0.5779
11 Al 0.1619 0.3238 0.9221
12 Al 0.1619 0.8381 0.5779
13 Al 0.1619 0.8381 0.9221
14 Al 0.3238 0.1619 0.0779
15 Al 0.3238 0.1619 0.4221
16 Al 0.3333 0.6667 0.0159
17 Al 0.3333 0.6667 0.4841
18 Al 0.4393 0.5607 0.7500
19 Al 0.4393 0.8786 0.7500
20 Al 0.5607 0.1214 0.2500
21 Al 0.5607 0.4393 0.2500
22 Al 0.6667 0.3333 0.5159
23 Al 0.6667 0.3333 0.9841
24 Al 0.6762 0.8381 0.5779
25 Al 0.6762 0.8381 0.9221
26 Al 0.8381 0.1619 0.0779
27 Al 0.8381 0.1619 0.4221
28 Al 0.8381 0.6762 0.0779
29 Al 0.8381 0.6762 0.4221
30 Al 0.8786 0.4393 0.2500
31 Ru 0.0000 0.0000 0.0000
32 Ru 0.0000 0.0000 0.5000
33 Ru 0.0000 0.5000 0.0000
34 Ru 0.0000 0.5000 0.5000
35 Ru 0.5000 0.0000 0.0000
36 Ru 0.5000 0.0000 0.5000
37 Ru 0.5000 0.5000 0.0000
38 Ru 0.5000 0.5000 0.5000